For Ti2Be9Tc, a GGA-PBE-relaxed structure gives the simulated XRD peak list in this record (Cu Ka).
Lines closer than 0.1° are merged.

Atomic structure:
```
Ti2Be9Tc
1.0
4.401 0.000 0.000
-2.200 3.811 0.000
0.000 0.000 13.958
Ti Be Tc
4 18 2
direct
0.333 0.667 0.038
0.333 0.667 0.462
0.667 0.333 0.538
0.667 0.333 0.962
0.000 0.000 0.000
0.000 0.000 0.250
0.000 0.000 0.500
0.000 0.000 0.750
0.168 0.335 0.630
0.168 0.335 0.870
0.168 0.832 0.630
0.168 0.832 0.870
0.333 0.667 0.750
0.335 0.168 0.130
0.335 0.168 0.370
0.665 0.832 0.630
0.665 0.832 0.870
0.667 0.333 0.250
0.832 0.168 0.130
0.832 0.168 0.370
0.832 0.665 0.130
0.832 0.665 0.370
0.333 0.667 0.250
0.667 0.333 0.750
```

Main lines, by intensity (2θ = 10–80°):
| 2θ/deg | intensity | h k l |
| --- | --- | --- |
| 24.2 | 100.0 | 1 0 1 |
| 40.0 | 84.1 | 1 0 5 |
| 41.0 | 56.7 | 1 1 0 |
| 48.9 | 55.5 | 1 1 4 |
| 23.3 | 42.6 | 1 0 0 |
| 25.5 | 31.5 | 0 0 4 |
| 48.2 | 26.7 | 2 0 1 |
| 34.9 | 24.6 | 1 0 4 |

---

For BeTl3Tc, a GGA-PBE-relaxed structure gives the simulated XRD peak list in this record (Cu Ka).
Lines closer than 0.1° are merged.

Atomic structure:
```
BeTl3Tc
1.0
4.941 0.000 0.000
0.000 4.941 0.000
0.000 0.000 4.941
Be Tl Tc
1 3 1
direct
0.000 0.000 0.000
0.000 0.000 0.500
0.000 0.500 0.000
0.500 0.000 0.000
0.500 0.500 0.500
```

Main lines, by intensity (2θ = 10–80°):
| 2θ/deg | intensity | h k l |
| --- | --- | --- |
| 31.4 | 100.0 | 1 1 1 |
| 36.4 | 52.5 | 2 0 0 |
| 62.3 | 43.1 | 3 1 1 |
| 52.4 | 37.4 | 2 2 0 |
| 65.4 | 12.8 | 2 2 2 |
| 18.0 | 6.4 | 1 0 0 |
| 77.2 | 6.0 | 4 0 0 |
| 25.5 | 4.2 | 1 1 0 |